# 1
This entry pairs a crystal structure of KBaBr3 with its theoretical powder XRD pattern. Radiation: CuKα. Structure: a cell relaxed with PBE.
Lines closer than 0.1° are merged.

Top 10 peaks for 2θ = 10–90°, low angle first:
2θ/deg  I (rel.)
14.0  24
21.1  51
26.1  20
28.4  18
30.0  100
31.9  20
33.7  26
35.1  18
36.4  31
39.2  40

```
data_KBaBr3
_chemical_formula_sum 'K2 Ba2 Br6'
_cell_length_a 4.9376
_cell_length_b 8.0351
_cell_length_c 10.2349
_cell_angle_alpha 90.00
_cell_angle_beta 90.00
_cell_angle_gamma 90.00
_space_group_name_H-M_alt 'P m m n'
_space_group_IT_number 59
loop_
_space_group_symop_operation_xyz
'x,y,z'
'-x,-y,-z'
'-x+1/2,-y+1/2,z'
'x+1/2,y+1/2,-z'
'x+1/2,-y,-z'
'-x+1/2,y,z'
'-x,y+1/2,-z'
'x,-y+1/2,z'
loop_
_atom_site_label
_atom_site_fract_x
_atom_site_fract_y
_atom_site_fract_z
_atom_site_occupancy
K1 0.2500 0.2500 0.1234 1
Ba1 0.2500 0.7500 0.3878 1
Br1 0.2500 0.5152 0.6575 1
Br2 0.2500 0.7500 0.0755 1
```

# 2
This entry pairs a crystal structure of K2BaBr with its theoretical powder XRD pattern. Radiation: CuKα. Structure: a cell relaxed with PBE.
Lines closer than 0.1° are merged.

Top 10 peaks for 2θ = 10–90°, low angle first:
2θ/deg  I (rel.)
23.3  15
23.4  45
24.5  16
26.4  100
30.9  40
36.4  13
43.0  25
43.3  14
45.2  15
46.1  13

```
data_K2BaBr
_chemical_formula_sum 'K4 Ba2 Br2'
_cell_length_a 4.7247
_cell_length_b 7.5927
_cell_length_c 12.5123
_cell_angle_alpha 90.00
_cell_angle_beta 90.00
_cell_angle_gamma 90.00
_space_group_name_H-M_alt 'C m m 2'
_space_group_IT_number 35
_space_group_name_Hall 'C 2 -2'
loop_
_atom_site_label
_atom_site_fract_x
_atom_site_fract_y
_atom_site_fract_z
_atom_site_occupancy
K1 0.0000 0.0000 0.0000 1
K2 0.0000 0.5000 0.3115 1
Ba1 0.0000 0.0000 0.6209 1
Br1 0.0000 0.5000 0.8110 1
```